(1)
For Y5HoRh6, a PBE-relaxed structure gives the calculated PXRD pattern in this record (CuKα).
Intensities are scaled so that the largest is 100.

Structure:
Unit cell a=4.842 b=6.897 c=7.659 alpha=90.00 beta=108.37 gamma=90.00
Space group P2/m (No. 10)
Inequivalent atoms, fractional coordinates:
Y: 0.000 0.000 0.000
Y: 0.333 0.000 0.667
Y: 0.333 0.500 0.667
Ho: 0.000 0.500 0.000
Rh: 0.166 0.251 0.332
Rh: 0.500 0.252 0.000

Most intense lines, 2θ from 15° to 90°, most intense first:
hkl 1 2 1, 37.0 deg, d 2.430, I = 100.0; hkl 0 0 3, 37.1 deg, d 2.422, I = 49.5; hkl 3 2 0, 66.8 deg, d 1.400, I = 34.1; hkl 0 4 3, 66.6 deg, d 1.405, I = 17.2; hkl 2 0 2, 53.5 deg, d 1.713, I = 16.9; hkl 2 4 2, 78.8 deg, d 1.215, I = 10.6; hkl 0 4 0, 53.1 deg, d 1.724, I = 8.7; hkl 0 0 6, 79.1 deg, d 1.211, I = 5.2; hkl 0 1 1, 17.7 deg, d 5.003, I = 1.0; hkl 1 1 0, 23.3 deg, d 3.823, I = 1.0; hkl 1 0 -1, 19.3 deg, d 4.594, I = 0.8; hkl 1 1 1, 29.1 deg, d 3.068, I = 0.5


(2)
For Ho5ZnRh6, a PBE-relaxed structure gives the calculated PXRD pattern in this record (CuKα).
Intensities are scaled so that the largest is 100.

Structure:
Unit cell a=4.698 b=6.789 c=14.115 alpha=90.00 beta=90.00 gamma=90.00
Space group Immm (No. 71)
Inequivalent atoms, fractional coordinates:
Ho: 0.000 0.000 0.000
Ho: 0.000 0.000 0.348
Ho: 0.000 0.500 0.328
Zn: 0.000 0.500 0.000
Rh: 0.000 0.251 0.164
Rh: 0.000 0.259 0.500

Most intense lines, 2θ from 15° to 90°, most intense first:
hkl 1 2 3, 37.9 deg, d 2.375, I = 100.0; hkl 2 0 0, 38.3 deg, d 2.351, I = 47.7; hkl 3 2 3, 69.0 deg, d 1.362, I = 31.5; hkl 2 4 0, 68.1 deg, d 1.376, I = 17.1; hkl 2 0 6, 55.3 deg, d 1.662, I = 15.7; hkl 2 4 6, 81.0 deg, d 1.188, I = 10.2; hkl 0 4 0, 54.0 deg, d 1.697, I = 9.3; hkl 0 2 0, 26.3 deg, d 3.391, I = 4.5; hkl 1 0 3, 26.8 deg, d 3.324, I = 2.9; hkl 4 0 0, 82.0 deg, d 1.174, I = 2.7; hkl 0 1 5, 34.4 deg, d 2.607, I = 2.6; hkl 1 1 8, 57.4 deg, d 1.605, I = 2.0


(3)
For Ho8Zn2Rh, a PBE-relaxed structure gives the calculated PXRD pattern in this record (CuKα).
Intensities are scaled so that the largest is 100.

Structure:
Unit cell a=7.483 b=15.824 c=6.025 alpha=90.00 beta=123.04 gamma=90.00
Space group Cm (No. 8)
Inequivalent atoms, fractional coordinates:
Ho: 0.000 0.000 0.000
Ho: 0.006 0.119 0.526
Ho: 0.231 0.305 0.863
Ho: 0.445 0.000 0.648
Ho: 0.460 0.115 0.179
Zn: 0.231 0.222 0.351
Rh: 0.236 0.500 0.169

Most intense lines, 2θ from 15° to 90°, most intense first:
hkl 1 5 -1, 32.3 deg, d 2.773, I = 100.0; hkl 1 1 -2, 30.6 deg, d 2.918, I = 89.5; hkl 1 3 1, 32.9 deg, d 2.722, I = 88.6; hkl 2 4 -1, 33.0 deg, d 2.713, I = 45.5; hkl 3 1 -2, 38.5 deg, d 2.338, I = 40.0; hkl 3 3 -1, 40.4 deg, d 2.233, I = 28.6; hkl 0 2 2, 37.4 deg, d 2.406, I = 25.1; hkl 0 4 1, 28.7 deg, d 3.115, I = 24.2; hkl 2 4 -3, 51.0 deg, d 1.791, I = 23.3; hkl 2 0 -2, 31.1 deg, d 2.878, I = 21.1; hkl 2 8 0, 54.9 deg, d 1.673, I = 20.0; hkl 2 4 0, 36.6 deg, d 2.458, I = 19.7


(4)
For Ho3Zn2Rh6, a PBE-relaxed structure gives the calculated PXRD pattern in this record (CuKα).
Intensities are scaled so that the largest is 100.

Structure:
Unit cell a=9.315 b=9.315 c=9.315 alpha=90.00 beta=90.00 gamma=90.00
Space group Im-3m (No. 229)
Inequivalent atoms, fractional coordinates:
Ho: 0.000 0.000 0.292
Zn: 0.250 0.250 0.250
Rh: 0.000 0.344 0.344

Most intense lines, 2θ from 15° to 90°, most intense first:
hkl 3 3 0, 41.1 deg, d 2.196, I = 100.0; hkl 6 3 3, 74.9 deg, d 1.268, I = 27.2; hkl 3 2 1, 36.1 deg, d 2.490, I = 23.8; hkl 2 2 2, 33.3 deg, d 2.689, I = 23.5; hkl 3 1 0, 30.3 deg, d 2.946, I = 17.9; hkl 6 2 2, 66.6 deg, d 1.404, I = 12.0; hkl 7 4 1, 84.5 deg, d 1.147, I = 11.9; hkl 5 3 2, 61.3 deg, d 1.511, I = 11.7; hkl 4 0 0, 38.7 deg, d 2.329, I = 11.1; hkl 5 2 1, 53.9 deg, d 1.701, I = 11.0; hkl 6 0 0, 59.5 deg, d 1.553, I = 9.8; hkl 6 6 0, 89.2 deg, d 1.098, I = 8.3


(5)
For Ho3ZnRh3, a PBE-relaxed structure gives the calculated PXRD pattern in this record (CuKα).
Intensities are scaled so that the largest is 100.

Structure:
Unit cell a=4.080 b=10.187 c=13.650 alpha=90.00 beta=90.00 gamma=90.00
Space group Cmcm (No. 63)
Inequivalent atoms, fractional coordinates:
Ho: 0.000 0.027 0.250
Ho: 0.000 0.304 0.104
Zn: 0.000 0.000 0.000
Rh: 0.000 0.247 0.750
Rh: 0.000 0.408 0.591

Most intense lines, 2θ from 15° to 90°, most intense first:
hkl 1 3 3, 39.8 deg, d 2.264, I = 100.0; hkl 1 1 4, 35.4 deg, d 2.535, I = 90.3; hkl 1 3 0, 34.4 deg, d 2.610, I = 67.6; hkl 2 0 0, 44.4 deg, d 2.040, I = 60.8; hkl 1 1 3, 30.7 deg, d 2.911, I = 41.3; hkl 1 1 2, 26.9 deg, d 3.312, I = 35.2; hkl 0 0 6, 39.6 deg, d 2.275, I = 34.0; hkl 0 4 1, 35.9 deg, d 2.504, I = 33.2; hkl 0 2 4, 31.6 deg, d 2.835, I = 24.6; hkl 2 6 3, 75.9 deg, d 1.254, I = 20.5; hkl 2 0 6, 61.0 deg, d 1.519, I = 19.3; hkl 0 4 7, 59.7 deg, d 1.549, I = 19.0


(6)
For Ho3Zn2Rh, a PBE-relaxed structure gives the calculated PXRD pattern in this record (CuKα).
Intensities are scaled so that the largest is 100.

Structure:
Unit cell a=4.9355 b=4.9355 c=6.0812 alpha=90.00 beta=90.00 gamma=120.00
Space group P-3m1 (No. 164)
Inequivalent atoms, fractional coordinates:
Ho: 0.0000 0.0000 0.0000
Ho: 0.3333 0.6667 0.6554
Zn: 0.3333 0.6667 0.1500
Rh: 0.0000 0.0000 0.5000

Most intense lines, 2θ from 15° to 90°, most intense first:
hkl 1 1 0, 36.4 deg, d 2.468, I = 100.0; hkl 0 1 2, 36.3 deg, d 2.478, I = 99.5; hkl 3 0 0, 65.5 deg, d 1.426, I = 52.7; hkl 2 0 2, 52.3 deg, d 1.748, I = 34.6; hkl 1 0 1, 25.5 deg, d 3.497, I = 26.4; hkl 1 0 4, 65.1 deg, d 1.432, I = 17.8; hkl 2 1 4, 88.3 deg, d 1.107, I = 15.9; hkl 3 1 2, 88.5 deg, d 1.104, I = 15.7; hkl 0 2 4, 77.0 deg, d 1.239, I = 11.0; hkl 2 2 0, 77.3 deg, d 1.234, I = 10.9; hkl 0 2 1, 45.0 deg, d 2.016, I = 6.0; hkl 2 1 1, 59.2 deg, d 1.561, I = 5.6